# 1
Diffraction record for LiPu4TaN8. The powder X-ray diffraction pattern is calculated, not measured: it uses a DFT-relaxed cell (GGA-PBE, Alexandria) and Cu Kα.

Top 10 peaks for 5 to 70 degrees two-theta, most intense first:
hkl 0 2 1, 2θ = 30.52°, I 100; hkl 2 0 2, 2θ = 32.36°, I 41; hkl 1 0 4, 2θ = 28.66°, I 40; hkl 0 0 3, 2θ = 18.24°, I 35; hkl 2 2 0, 2θ = 53.05°, I 31; hkl 1 1 3, 2θ = 31.78°, I 31; hkl 0 1 5, 2θ = 34.19°, I 28; hkl 2 1 4, 2θ = 47.31°, I 21; hkl 1 2 5, 2θ = 51.11°, I 20; hkl 1 1 6, 2θ = 45.63°, I 16

```
data_LiPu4TaN8
_chemical_formula_sum 'Li3 Pu12 Ta3 N24'
_symmetry_space_group_name_H-M 'R 3 m'
_symmetry_Int_Tables_number 160
_symmetry_space_group_name_Hall 'R 3 -2"'
_cell_length_a 6.9053
_cell_length_b 6.9053
_cell_length_c 14.5917
_cell_angle_alpha 90.00
_cell_angle_beta 90.00
_cell_angle_gamma 120.00
loop_
_atom_site_label
_atom_site_fract_x
_atom_site_fract_y
_atom_site_fract_z
_atom_site_occupancy
Li1 0.0000 0.0000 0.0000 1
Pu1 0.0000 0.0000 0.3960 1
Pu2 0.1700 0.3400 0.8254 1
Ta1 0.0000 0.0000 0.6109 1
N1 0.0000 0.0000 0.2353 1
N2 0.0000 0.0000 0.7469 1
N3 0.0316 0.5158 0.2217 1
N4 0.0444 0.5222 0.7462 1
```



# 2
Diffraction record for Ni4Mo6CN. The powder X-ray diffraction pattern is calculated, not measured: it uses a DFT-relaxed cell (GGA-PBE, Alexandria) and Cu Kα.

Top 10 peaks for 5 to 70 degrees two-theta, most intense first:
hkl 0 4 1, 2θ = 40.51°, I 100; hkl 4 2 0, 2θ = 42.81°, I 57; hkl 2 4 1, 2θ = 45.01°, I 26; hkl 3 1 0, 2θ = 29.91°, I 7; hkl 0 2 4, 2θ = 58.65°, I 5; hkl 4 2 2, 2θ = 51.14°, I 4; hkl 2 6 0, 2θ = 62.10°, I 3; hkl 2 2 4, 2θ = 62.17°, I 3; hkl 2 0 1, 2θ = 23.06°, I 3; hkl 3 5 1, 2θ = 58.58°, I 3

```
data_Ni4Mo6CN
_chemical_formula_sum 'Ni16 Mo24 C4 N4'
_symmetry_space_group_name_H-M 'C 2 2 21'
_symmetry_Int_Tables_number 20
_symmetry_space_group_name_Hall 'C 2c 2'
_cell_length_a 9.4381
_cell_length_b 9.4617
_cell_length_c 6.6774
_cell_angle_alpha 90.00
_cell_angle_beta 90.00
_cell_angle_gamma 90.00
loop_
_atom_site_label
_atom_site_fract_x
_atom_site_fract_y
_atom_site_fract_z
_atom_site_occupancy
Ni1 0.1253 0.1927 0.1925 1
Ni2 0.1921 0.3753 0.9425 1
Mo1 0.0000 0.4521 0.2500 1
Mo2 0.0506 0.0000 0.5000 1
Mo3 0.0885 0.2878 0.5758 1
Mo4 0.2120 0.0859 0.8253 1
C1 0.0000 0.1267 0.7500 1
N1 0.1235 0.5000 0.5000 1
```